[1]
Structure and simulated X-ray powder pattern of K4LiTl4 (DFT lattice parameters and positions (PBE); Cu Kα).
Lines closer than 0.1° are merged.

Structure:
a = 6.4397 Å, b = 6.4397 Å, c = 16.7704 Å
α = 90.00°, β = 90.00°, γ = 90.00°
Space group I-42m (No. 121)
Inequivalent atoms, fractional coordinates:
K: 0.1972 0.1972 0.1017 x8
Li: 0.0000 0.0000 0.5000 x2
Tl: 0.1847 0.1847 0.3080 x8

Main lines, by angle (2θ = 15–90°):
- 4.002 Å, 22.22°, I 32.9
- 3.220 Å, 27.71°, I 44.9
- 3.084 Å, 28.95°, I 100.0
- 2.838 Å, 31.52°, I 89.4
- 2.382 Å, 37.77°, I 36.7
- 2.003 Å, 45.28°, I 32.5
- 1.808 Å, 50.48°, I 28.3
- 1.555 Å, 59.44°, I 28.1

***

[2]
Structure and simulated X-ray powder pattern of Sn4Te3Se (DFT lattice parameters and positions (PBE); Cu Kα).
Lines closer than 0.1° are merged.

Structure:
a = 7.7291 Å, b = 8.9220 Å, c = 7.7342 Å
α = 90.00°, β = 109.46°, γ = 90.00°
Space group P2/c (No. 13)
Inequivalent atoms, fractional coordinates:
Sn: 0.2381 0.1193 0.0030 x4
Sn: 0.2448 0.3678 0.4923 x4
Te: 0.0000 0.3748 0.7500 x2
Te: 0.5000 0.1251 0.7500 x2
Te: 0.5000 0.3749 0.2500 x2
Se: 0.0000 0.1249 0.2500 x2

Main lines, by angle (2θ = 15–90°):
- 3.156 Å, 28.28°, I 100.0
- 2.896 Å, 30.88°, I 0.7
- 2.232 Å, 40.42°, I 76.5
- 1.822 Å, 50.06°, I 27.4
- 1.578 Å, 58.49°, I 12.9
- 1.411 Å, 66.22°, I 35.4
- 1.288 Å, 73.51°, I 26.2
- 1.116 Å, 87.41°, I 8.6

***

[3]
Structure and simulated X-ray powder pattern of Sc5SbTe4 (DFT lattice parameters and positions (PBE); Cu Kα).
Lines closer than 0.1° are merged.

Structure:
a = 9.3264 Å, b = 9.3264 Å, c = 5.8823 Å
α = 90.00°, β = 90.00°, γ = 90.00°
Space group I4/m (No. 87)
Inequivalent atoms, fractional coordinates:
Sc: 0.0000 0.0000 0.0000 x2
Sc: 0.1007 0.2907 0.5000 x8
Sb: 0.0000 0.0000 0.5000 x2
Te: 0.0966 0.3029 0.0000 x8

Main lines, by angle (2θ = 15–90°):
- 3.402 Å, 26.19°, I 41.4
- 2.947 Å, 30.33°, I 100.0
- 2.084 Å, 43.43°, I 72.5
- 1.778 Å, 51.39°, I 13.9
- 1.701 Å, 53.89°, I 25.0
- 1.319 Å, 71.56°, I 20.5
- 1.316 Å, 71.72°, I 10.4
- 1.203 Å, 79.67°, I 15.1